No. 1
For TlCo3N5, a cell relaxed with PBE gives the computed XRD peak list in this record (Cu Kα).

Crystal structure
a b c (Å): 5.0710 5.0710 4.0195
angles (deg): 90.00 90.00 120.00
Space group P6/mmm (No. 191)
Asymmetric unit:
Tl: 0.0000 0.0000 0.0000 (multiplicity 1)
Co: 0.0000 0.5000 0.5000 (multiplicity 3)
N: 0.0000 0.0000 0.5000 (multiplicity 1)
N: 0.3333 0.6667 0.1622 (multiplicity 4)

Principal peaks in the range 10 to 90 degrees two-theta, by intensity:
2θ (°), I/Imax, index
30.14, 100, 1 0 1
42.14, 57, 1 1 1
41.11, 56, 2 0 0
62.66, 36, 2 0 2
20.22, 35, 1 0 0
60.33, 30, 2 1 1
35.40, 25, 1 1 0
45.11, 14, 0 0 2
68.18, 13, 3 0 1
82.81, 12, 3 1 1

---

No. 2
For Cu9Sn, a cell relaxed with PBE gives the computed XRD peak list in this record (Cu Kα).

Crystal structure
a b c (Å): 2.6952 3.4365 35.9260
angles (deg): 90.00 90.00 90.00
Space group Pmmn (No. 59, origin choice 2)
Asymmetric unit:
Cu: 0.2500 0.2500 0.0178 (multiplicity 2)
Cu: 0.2500 0.2500 0.0888 (multiplicity 2)
Cu: 0.2500 0.2500 0.1601 (multiplicity 2)
Cu: 0.2500 0.2500 0.2321 (multiplicity 2)
Cu: 0.2500 0.2500 0.3043 (multiplicity 2)
Cu: 0.2500 0.2500 0.7314 (multiplicity 2)
Cu: 0.2500 0.2500 0.8040 (multiplicity 2)
Cu: 0.2500 0.2500 0.8757 (multiplicity 2)
Cu: 0.2500 0.2500 0.9468 (multiplicity 2)
Sn: 0.2500 0.2500 0.6448 (multiplicity 2)

Principal peaks in the range 10 to 90 degrees two-theta, by intensity:
2θ (°), I/Imax, index
42.64, 100, 1 1 0
44.04, 59, 0 1 14
49.02, 42, 1 0 14
53.32, 25, 0 2 0
41.95, 24, 0 1 13
75.33, 21, 1 2 14
86.31, 20, 2 1 14
47.10, 15, 1 0 13
39.94, 13, 0 1 12
73.86, 11, 0 0 28

---

No. 3
For Cs2PdBr2Cl2, a cell relaxed with PBE gives the computed XRD peak list in this record (Cu Kα).

Crystal structure
a b c (Å): 10.3242 11.2644 4.8370
angles (deg): 90.00 90.00 90.00
Space group Cmmm (No. 65)
Asymmetric unit:
Cs: 0.2500 0.2500 0.0000 (multiplicity 4)
Pd: 0.0000 0.0000 0.5000 (multiplicity 2)
Br: 0.2396 0.0000 0.5000 (multiplicity 4)
Cl: 0.0000 0.2079 0.5000 (multiplicity 4)

Principal peaks in the range 10 to 90 degrees two-theta, by intensity:
2θ (°), I/Imax, index
24.26, 100, 0 2 1
29.87, 76, 2 2 1
11.63, 49, 1 1 0
42.84, 43, 4 2 1
31.78, 37, 0 4 0
25.23, 34, 2 0 1
34.76, 32, 4 0 0
17.18, 29, 2 0 0
37.18, 27, 0 0 2
21.77, 23, 1 1 1

---

What did the third record say?
For Cs2PdBr2Cl2, a cell relaxed with PBE gives the computed XRD peak list in this record (Cu Kα).

Crystal structure
a b c (Å): 10.3242 11.2644 4.8370
angles (deg): 90.00 90.00 90.00
Space group Cmmm (No. 65)
Asymmetric unit:
Cs: 0.2500 0.2500 0.0000 (multiplicity 4)
Pd: 0.0000 0.0000 0.5000 (multiplicity 2)
Br: 0.2396 0.0000 0.5000 (multiplicity 4)
Cl: 0.0000 0.2079 0.5000 (multiplicity 4)

Principal peaks in the range 10 to 90 degrees two-theta, by intensity:
2θ (°), I/Imax, index
24.26, 100, 0 2 1
29.87, 76, 2 2 1
11.63, 49, 1 1 0
42.84, 43, 4 2 1
31.78, 37, 0 4 0
25.23, 34, 2 0 1
34.76, 32, 4 0 0
17.18, 29, 2 0 0
37.18, 27, 0 0 2
21.77, 23, 1 1 1